1.
For SrMg14Si, DFT lattice parameters and positions (PBE) gives the calculated powder diffractogram in this record (a wavelength of 1.5418 Å).
Neutral-atom scattering factors, no anomalous dispersion.

The 10 most intense peaks (5° ≤ 2θ ≤ 70°), low angle first:
(hkl)	2θ (°)	d (Å)	I_rel
1 0 0	8.4	10.466	18
0 2 2	32.3	2.775	34
4 0 0	34.3	2.617	41
2 0 4	35.7	2.517	60
2 2 2	36.7	2.451	100
4 2 2	47.8	1.903	19
0 2 6	56.1	1.638	18
6 0 4	62.3	1.491	11
6 2 2	62.9	1.477	18
4 2 6	67.5	1.388	21

```
data_SrMg14Si
_cell_length_a 10.4664
_cell_length_b 6.3373
_cell_length_c 11.4828
_cell_angle_alpha 90.00
_cell_angle_beta 90.00
_cell_angle_gamma 90.00
_symmetry_space_group_name_H-M 'A m m 2'
_symmetry_Int_Tables_number 38
loop_
_symmetry_equiv_pos_as_xyz
'x,y,z'
'-x,-y,z'
'-x,y,z'
'x,-y,z'
'x,y+1/2,z+1/2'
'-x,-y+1/2,z+1/2'
'-x,y+1/2,z+1/2'
'x,-y+1/2,z+1/2'
loop_
_atom_site_label
_atom_site_fract_x
_atom_site_fract_y
_atom_site_fract_z
_atom_site_occupancy
Sr1 0.0000 0.0000 0.0000 1
Mg1 0.0000 0.2398 0.2538 1
Mg2 0.2324 0.0000 0.6513 1
Mg3 0.2584 0.2436 0.4055 1
Mg4 0.2652 0.0000 0.1607 1
Mg5 0.5000 0.0000 0.4956 1
Mg6 0.5000 0.0000 0.9911 1
Mg7 0.5000 0.2447 0.7425 1
Si1 0.0000 0.0000 0.4722 1
```

2.
For SrMg14Si, DFT lattice parameters and positions (PBE) gives the calculated powder diffractogram in this record (a wavelength of 1.5418 Å).
Neutral-atom scattering factors, no anomalous dispersion.

The 10 most intense peaks (5° ≤ 2θ ≤ 70°), low angle first:
(hkl)	2θ (°)	d (Å)	I_rel
1 0 0	15.9	5.578	10
1 0 1	18.0	4.937	10
2 0 0	32.1	2.789	25
0 0 4	33.8	2.651	26
2 0 2	36.4	2.468	100
2 0 4	47.3	1.921	16
2 2 0	57.2	1.610	17
2 0 6	62.2	1.493	18
2 2 4	68.1	1.376	19
4 0 2	69.7	1.349	14

```
data_SrMg14Si
_cell_length_a 6.4411
_cell_length_b 6.4411
_cell_length_c 10.6039
_cell_angle_alpha 90.00
_cell_angle_beta 90.00
_cell_angle_gamma 120.00
_symmetry_space_group_name_H-M 'P -6 m 2'
_symmetry_Int_Tables_number 187
_symmetry_space_group_name_Hall 'P -6 2'
loop_
_atom_site_label
_atom_site_fract_x
_atom_site_fract_y
_atom_site_fract_z
_atom_site_occupancy
Sr1 0.0000 0.0000 0.0000 1
Mg1 0.0098 0.5049 0.0000 1
Mg2 0.1667 0.3333 0.2644 1
Mg3 0.5025 0.0051 0.5000 1
Mg4 0.6667 0.3333 0.2418 1
Si1 0.0000 0.0000 0.5000 1
```

3.
For Tb2MgSi2, DFT lattice parameters and positions (PBE) gives the calculated powder diffractogram in this record (a wavelength of 1.5418 Å).
Neutral-atom scattering factors, no anomalous dispersion.

The 10 most intense peaks (5° ≤ 2θ ≤ 70°), low angle first:
(hkl)	2θ (°)	d (Å)	I_rel
0 0 1	21.0	4.234	35
2 0 0	24.7	3.603	25
2 1 0	27.7	3.222	45
2 0 1	32.6	2.744	48
2 1 1	35.0	2.564	100
3 1 0	39.6	2.279	18
0 0 2	42.7	2.117	17
2 1 2	51.7	1.769	17
4 1 0	52.4	1.748	19
4 1 1	57.0	1.615	27

```
data_Tb2MgSi2
_cell_length_a 7.2056
_cell_length_b 7.2056
_cell_length_c 4.2339
_cell_angle_alpha 90.00
_cell_angle_beta 90.00
_cell_angle_gamma 90.00
_symmetry_space_group_name_H-M 'P 4/m b m'
_symmetry_Int_Tables_number 127
_symmetry_space_group_name_Hall '-P 4 2ab'
loop_
_atom_site_label
_atom_site_fract_x
_atom_site_fract_y
_atom_site_fract_z
_atom_site_occupancy
Tb1 0.1793 0.3207 0.0000 1
Mg1 0.0000 0.0000 0.5000 1
Si1 0.1171 0.6171 0.5000 1
```

4.
For Mg14TiSi, DFT lattice parameters and positions (PBE) gives the calculated powder diffractogram in this record (a wavelength of 1.5418 Å).
Neutral-atom scattering factors, no anomalous dispersion.

The 10 most intense peaks (5° ≤ 2θ ≤ 70°), low angle first:
(hkl)	2θ (°)	d (Å)	I_rel
0 0 4	32.7	2.740	12
0 2 2	33.4	2.685	25
4 0 0	35.4	2.537	41
2 0 4	37.3	2.411	54
2 2 2	37.9	2.373	100
4 2 2	49.4	1.844	16
0 2 6	58.8	1.571	17
0 4 0	60.1	1.540	8
6 0 4	64.8	1.439	10
6 2 2	65.2	1.431	18

```
data_Mg14TiSi
_cell_length_a 10.1497
_cell_length_b 6.1606
_cell_length_c 10.9614
_cell_angle_alpha 90.00
_cell_angle_beta 90.00
_cell_angle_gamma 90.00
_symmetry_space_group_name_H-M 'A m m 2'
_symmetry_Int_Tables_number 38
loop_
_symmetry_equiv_pos_as_xyz
'x,y,z'
'-x,-y,z'
'-x,y,z'
'x,-y,z'
'x,y+1/2,z+1/2'
'-x,-y+1/2,z+1/2'
'-x,y+1/2,z+1/2'
'x,-y+1/2,z+1/2'
loop_
_atom_site_label
_atom_site_fract_x
_atom_site_fract_y
_atom_site_fract_z
_atom_site_occupancy
Mg1 0.0000 0.0000 0.0000 1
Mg2 0.0000 0.0000 0.4995 1
Mg3 0.0000 0.2491 0.2503 1
Mg4 0.2519 0.0000 0.6634 1
Mg5 0.2543 0.0000 0.1641 1
Mg6 0.2571 0.2494 0.4180 1
Mg7 0.5000 0.2476 0.7494 1
Ti1 0.5000 0.0000 0.5022 1
Si1 0.5000 0.0000 0.0002 1
```

5.
For Mg14TiSi, DFT lattice parameters and positions (PBE) gives the calculated powder diffractogram in this record (a wavelength of 1.5418 Å).
Neutral-atom scattering factors, no anomalous dispersion.

The 10 most intense peaks (5° ≤ 2θ ≤ 70°), low angle first:
(hkl)	2θ (°)	d (Å)	I_rel
0 0 1	8.6	10.235	1
1 0 0	16.3	5.424	3
1 0 1	18.5	4.793	1
2 0 0	33.0	2.712	24
0 0 4	35.1	2.559	27
2 0 2	37.5	2.396	100
2 0 4	48.9	1.861	15
2 2 0	59.0	1.566	17
2 0 6	64.5	1.444	19
4 0 0	69.3	1.356	3

```
data_Mg14TiSi
_cell_length_a 6.2636
_cell_length_b 6.2636
_cell_length_c 10.2349
_cell_angle_alpha 90.00
_cell_angle_beta 90.00
_cell_angle_gamma 120.00
_symmetry_space_group_name_H-M 'P -6 m 2'
_symmetry_Int_Tables_number 187
_symmetry_space_group_name_Hall 'P -6 2'
loop_
_atom_site_label
_atom_site_fract_x
_atom_site_fract_y
_atom_site_fract_z
_atom_site_occupancy
Mg1 0.0000 0.0000 0.2455 1
Mg2 0.0097 0.5048 0.2510 1
Mg3 0.3311 0.1656 0.5000 1
Mg4 0.3370 0.1685 0.0000 1
Ti1 0.3333 0.6667 0.0000 1
Si1 0.3333 0.6667 0.5000 1
```

6.
For Mg6TiSi, DFT lattice parameters and positions (PBE) gives the calculated powder diffractogram in this record (a wavelength of 1.5418 Å).
Neutral-atom scattering factors, no anomalous dispersion.

The 10 most intense peaks (5° ≤ 2θ ≤ 70°), low angle first:
(hkl)	2θ (°)	d (Å)	I_rel
0 0 4	32.7	2.735	10
0 2 2	34.8	2.581	31
2 0 0	35.8	2.506	46
1 0 4	37.5	2.401	68
1 2 2	39.3	2.295	100
2 2 2	50.8	1.798	20
0 2 6	59.7	1.548	19
0 4 0	63.6	1.464	8
3 0 4	65.5	1.426	12
3 2 2	66.7	1.403	19

```
data_Mg6TiSi
_cell_length_a 5.0126
_cell_length_b 5.8543
_cell_length_c 10.9407
_cell_angle_alpha 90.00
_cell_angle_beta 90.00
_cell_angle_gamma 90.00
_symmetry_space_group_name_H-M 'A m m 2'
_symmetry_Int_Tables_number 38
loop_
_symmetry_equiv_pos_as_xyz
'x,y,z'
'-x,-y,z'
'-x,y,z'
'x,-y,z'
'x,y+1/2,z+1/2'
'-x,-y+1/2,z+1/2'
'-x,y+1/2,z+1/2'
'x,-y+1/2,z+1/2'
loop_
_atom_site_label
_atom_site_fract_x
_atom_site_fract_y
_atom_site_fract_z
_atom_site_occupancy
Mg1 0.0000 0.0000 0.0000 1
Mg2 0.0000 0.0000 0.4974 1
Mg3 0.0000 0.2464 0.7542 1
Mg4 0.5000 0.2491 0.0934 1
Ti1 0.5000 0.0000 0.8458 1
Si1 0.5000 0.0000 0.3400 1
```